Calculated PXRD pattern of Th3Sn4Pt3 for Cu Ka, from the PBE geometry in Alexandria.
Neutral-atom scattering factors, no anomalous dispersion.

Main lines, low angle first (10 to 80 degrees two-theta):
- 21.84°, I = 21
- 33.64°, I = 100
- 40.47°, I = 56
- 44.53°, I = 14
- 50.12°, I = 17
- 69.26°, I = 14

Structural model:
```
20
Lattice="-4.984 4.984 4.984 4.984 -4.984 4.984 4.984 4.984 -4.984" Properties=species:S:1:pos:R:3 pbc="T T T"
Th 4.984 -2.492 3.738
Th 3.738 4.984 -2.492
Th 4.984 2.492 1.246
Th 2.492 1.246 4.984
Th 1.246 4.984 2.492
Th -2.492 3.738 4.984
Sn 3.343 1.642 -1.642
Sn 5.835 -0.850 0.850
Sn 1.642 -1.642 3.343
Sn 1.642 1.642 1.642
Sn -1.642 3.343 1.642
Sn 0.850 5.835 -0.850
Sn -0.850 0.850 5.835
Sn 4.134 4.134 4.134
Pt 7.476 1.246 0.000
Pt 3.738 0.000 2.492
Pt 2.492 3.738 0.000
Pt 0.000 2.492 3.738
Pt 1.246 0.000 7.476
Pt 0.000 7.476 1.246
```

Calculated PXRD pattern of TiSn2Pt for Cu Ka, from the PBE geometry in Alexandria.
Neutral-atom scattering factors, no anomalous dispersion.

Main lines, low angle first (10 to 80 degrees two-theta):
- 19.00°, I = 51
- 33.36°, I = 100
- 34.58°, I = 95
- 47.90°, I = 35
- 48.81°, I = 68
- 67.93°, I = 27

Structural model:
```
16
Lattice="7.596 0.000 0.000 0.000 7.596 0.000 0.000 0.000 5.924" Properties=species:S:1:pos:R:3 pbc="T T T"
Ti 0.000 0.000 0.000
Ti 0.000 3.798 1.481
Ti 3.798 0.000 4.443
Ti 3.798 3.798 2.962
Sn 1.706 1.899 3.703
Sn 1.899 5.504 5.184
Sn 1.899 5.890 2.222
Sn 2.092 1.899 0.741
Sn 5.504 5.697 0.741
Sn 5.697 1.706 2.222
Sn 5.697 2.092 5.184
Sn 5.890 5.697 3.703
Pt 0.000 0.000 2.962
Pt 0.000 3.798 4.443
Pt 3.798 0.000 1.481
Pt 3.798 3.798 0.000
```

Calculated PXRD pattern of Tm3SnPt for Cu Ka, from the PBE geometry in Alexandria.
Neutral-atom scattering factors, no anomalous dispersion.

Main lines, low angle first (10 to 80 degrees two-theta):
- 23.77°, I = 24
- 28.39°, I = 51
- 34.84°, I = 100
- 36.59°, I = 18
- 40.01°, I = 35
- 45.76°, I = 25

Structural model:
```
10
Lattice="4.507 0.000 0.000 0.000 6.720 0.000 0.000 0.000 8.786" Properties=species:S:1:pos:R:3 pbc="T T T"
Tm 1.127 0.017 1.433
Tm 1.127 1.680 5.071
Tm 1.127 3.343 1.433
Tm 3.380 3.377 7.354
Tm 3.380 5.040 3.715
Tm 3.380 6.702 7.354
Sn 1.127 5.040 5.683
Sn 3.380 1.680 3.104
Pt 1.127 1.680 7.914
Pt 3.380 5.040 0.873
```

Calculated PXRD pattern of YSnPt4 for Cu Ka, from the PBE geometry in Alexandria.
Neutral-atom scattering factors, no anomalous dispersion.

Main lines, low angle first (10 to 80 degrees two-theta):
- 20.08°, I = 34
- 39.00°, I = 100
- 40.80°, I = 61
- 47.47°, I = 16
- 63.06°, I = 33
- 69.40°, I = 31

Structural model:
```
6
Lattice="0.000 3.830 3.830 3.830 0.000 3.830 3.830 3.830 0.000" Properties=species:S:1:pos:R:3 pbc="T T T"
Y 0.000 0.000 0.000
Sn 5.745 5.745 5.745
Pt 2.873 2.873 2.873
Pt 4.787 4.787 2.873
Pt 4.787 2.873 4.787
Pt 2.873 4.787 4.787
```

Calculated PXRD pattern of ZnSn2Pt9 for Cu Ka, from the PBE geometry in Alexandria.
Neutral-atom scattering factors, no anomalous dispersion.

Main lines, low angle first (10 to 80 degrees two-theta):
- 38.83°, I = 100
- 45.09°, I = 33
- 45.25°, I = 16
- 65.79°, I = 21
- 78.99°, I = 26
- 79.22°, I = 12

Structural model:
```
12
Lattice="4.022 0.000 0.000 0.000 4.022 0.000 0.000 0.000 12.023" Properties=species:S:1:pos:R:3 pbc="T T T"
Zn 0.000 0.000 0.000
Sn 0.000 0.000 3.922
Sn 0.000 0.000 8.101
Pt 0.000 2.011 1.905
Pt 0.000 2.011 6.012
Pt 0.000 2.011 10.118
Pt 2.011 0.000 1.905
Pt 2.011 0.000 6.012
Pt 2.011 0.000 10.118
Pt 2.011 2.011 0.000
Pt 2.011 2.011 3.981
Pt 2.011 2.011 8.042
```

Calculated PXRD pattern of Zn2SnPt2 for Cu Ka, from the PBE geometry in Alexandria.
Neutral-atom scattering factors, no anomalous dispersion.

Main lines, low angle first (10 to 80 degrees two-theta):
- 23.02°, I = 18
- 27.19°, I = 27
- 40.44°, I = 100
- 41.16°, I = 27
- 43.09°, I = 24
- 61.11°, I = 17

Structural model:
```
10
Lattice="4.198 0.000 0.000 0.000 4.386 0.000 0.000 0.000 9.878" Properties=species:S:1:pos:R:3 pbc="T T T"
Zn 1.050 1.096 0.003
Zn 1.050 1.096 3.159
Zn 3.149 3.289 9.875
Zn 3.149 3.289 6.719
Sn 1.050 1.096 6.839
Sn 3.149 3.289 3.039
Pt 1.050 3.289 4.697
Pt 1.050 3.289 8.373
Pt 3.149 1.096 1.505
Pt 3.149 1.096 5.181
```

Calculated PXRD pattern of Zr8Sn2Pt for Cu Ka, from the PBE geometry in Alexandria.
Neutral-atom scattering factors, no anomalous dispersion.

Main lines, low angle first (10 to 80 degrees two-theta):
- 31.20°, I = 30
- 36.09°, I = 100
- 37.75°, I = 59
- 38.11°, I = 29
- 38.53°, I = 24
- 38.82°, I = 87

Structural model:
```
11
Lattice="9.411 -2.383 0.000 9.411 2.383 0.000 -1.785 0.000 5.628" Properties=species:S:1:pos:R:3 pbc="T T T"
Zr -0.002 0.000 1.516
Zr 2.863 0.000 4.712
Zr 5.787 0.000 2.604
Zr 7.750 0.000 0.026
Zr 9.287 0.000 5.602
Zr 11.250 0.000 3.024
Zr 14.174 0.000 0.917
Zr 17.040 0.000 4.112
Sn 2.938 0.000 1.513
Sn 14.100 0.000 4.116
Pt 8.519 0.000 2.814
```

Calculated PXRD pattern of SrPt for Cu Ka, from the PBE geometry in Alexandria.
Neutral-atom scattering factors, no anomalous dispersion.

Main lines, low angle first (10 to 80 degrees two-theta):
- 15.02°, I = 100
- 23.86°, I = 36
- 26.17°, I = 54
- 37.35°, I = 65
- 40.47°, I = 35
- 43.40°, I = 32

Structural model:
```
12
Lattice="8.340 0.000 0.000 0.000 8.340 0.000 0.000 0.000 8.340" Properties=species:S:1:pos:R:3 pbc="T T T"
Sr 0.000 2.085 4.170
Sr 0.000 6.255 4.170
Sr 2.085 4.170 0.000
Sr 4.170 0.000 2.085
Sr 4.170 0.000 6.255
Sr 6.255 4.170 0.000
Pt 0.000 4.170 2.085
Pt 0.000 4.170 6.255
Pt 2.085 0.000 4.170
Pt 4.170 2.085 0.000
Pt 4.170 6.255 0.000
Pt 6.255 0.000 4.170
```